No. 1
Structure and theoretical powder diffractogram of Ta2MoP (a cell relaxed with PBE; Cu Kα).
Lines closer than 0.1° are merged.

Top 10 peaks for 2θ from 15° to 90°, low angle first:
2theta  I/Imax
21.80  23
32.66  19
37.85  30
39.61  100
44.44  16
54.68  10
59.76  13
68.43  10
69.53  19
85.32  10

Crystal structure
a = 2.910 Å, b = 2.910 Å, c = 8.154 Å
α = 90.00°, β = 90.00°, γ = 109.55°
Atoms (fractional coordinates):
Ta1 0.000 0.000 0.230
Ta2 0.000 0.000 0.770
Mo1 0.500 0.500 0.500
P1 0.500 0.500 0.000

***

No. 2
Structure and theoretical powder diffractogram of TaMo2P2 (a cell relaxed with PBE; Cu Kα).
Lines closer than 0.1° are merged.

Top 10 peaks for 2θ from 15° to 90°, low angle first:
2theta  I/Imax
18.32  25
29.15  27
34.18  89
37.12  26
39.05  51
41.30  76
41.70  100
61.80  27
65.04  22
75.03  35

Crystal structure
a = 6.850 Å, b = 6.850 Å, c = 3.120 Å
α = 90.00°, β = 90.00°, γ = 90.00°
Atoms (fractional coordinates):
Ta1 0.000 0.000 0.000
Ta2 0.500 0.500 0.000
Mo1 0.145 0.355 0.500
Mo2 0.355 0.855 0.500
Mo3 0.645 0.145 0.500
Mo4 0.855 0.645 0.500
P1 0.151 0.651 0.000
P2 0.349 0.151 0.000
P3 0.651 0.849 0.000
P4 0.849 0.349 0.000

***

No. 3
Structure and theoretical powder diffractogram of Ta3MoP (a cell relaxed with PBE; Cu Kα).
Lines closer than 0.1° are merged.

Top 10 peaks for 2θ from 15° to 90°, low angle first:
2theta  I/Imax
34.87  63
36.09  33
36.79  67
37.64  100
40.36  20
40.47  24
40.64  16
44.65  72
63.58  17
84.82  18

Crystal structure
a = 7.425 Å, b = 5.206 Å, c = 8.916 Å
α = 90.00°, β = 107.59°, γ = 90.00°
Atoms (fractional coordinates):
Ta1 0.001 0.008 0.171
Ta2 0.001 0.492 0.671
Ta3 0.193 0.506 0.047
Ta4 0.193 0.994 0.547
Ta5 0.382 0.233 0.844
Ta6 0.382 0.267 0.344
Ta7 0.618 0.733 0.656
Ta8 0.618 0.767 0.156
Ta9 0.807 0.006 0.453
Ta10 0.807 0.494 0.953
Ta11 0.999 0.508 0.329
Ta12 0.999 0.992 0.829
Mo1 0.373 0.728 0.848
Mo2 0.373 0.772 0.348
Mo3 0.627 0.228 0.652
Mo4 0.627 0.272 0.152
P1 0.293 0.006 0.075
P2 0.293 0.494 0.575
P3 0.707 0.506 0.425
P4 0.707 0.994 0.925